1.
Structure and calculated powder XRD pattern of PmSm7Dy2 (a DFT-relaxed cell (GGA-PBE, Alexandria); CuKα).
Neutral-atom scattering factors, no anomalous dispersion.

Atomic structure:
a = 9.2348 Å, b = 9.2348 Å, c = 5.6840 Å
α = 90.00°, β = 90.00°, γ = 122.68°
Atoms (fractional coordinates):
Pm: 0.0000 0.0000 0.0000
Sm: 0.0634 0.2936 0.5000
Sm: 0.2226 0.7774 0.0000
Sm: 0.2936 0.0634 0.5000
Sm: 0.5000 0.5000 0.5000
Sm: 0.7064 0.9366 0.5000
Sm: 0.7774 0.2226 0.0000
Sm: 0.9366 0.7064 0.5000
Dy: 0.2958 0.7042 0.5000
Dy: 0.7042 0.2958 0.5000

Top 10 peaks for 2θ = 10–90°, by angle:
2θ (°)	I_rel
15.59	53
20.05	23
27.03	34
29.89	60
31.48	58
33.39	100
34.67	66
43.96	42
61.88	25
62.59	25

---

2.
Structure and calculated powder XRD pattern of PmSm12Dy6 (a DFT-relaxed cell (GGA-PBE, Alexandria); CuKα).
Neutral-atom scattering factors, no anomalous dispersion.

Atomic structure:
a = 8.7930 Å, b = 8.7930 Å, c = 8.7930 Å
α = 98.81°, β = 98.81°, γ = 98.81°
Atoms (fractional coordinates):
Pm: 0.0000 0.0000 0.0000
Sm: 0.0832 0.3553 0.3553
Sm: 0.2410 0.5000 0.7590
Sm: 0.2410 0.7590 0.5000
Sm: 0.3553 0.0832 0.3553
Sm: 0.3553 0.3553 0.0832
Sm: 0.5000 0.2410 0.7590
Sm: 0.5000 0.7590 0.2410
Sm: 0.6447 0.6447 0.9168
Sm: 0.6447 0.9168 0.6447
Sm: 0.7590 0.2410 0.5000
Sm: 0.7590 0.5000 0.2410
Sm: 0.9168 0.6447 0.6447
Dy: 0.0982 0.0982 0.6604
Dy: 0.0982 0.6604 0.0982
Dy: 0.3396 0.9018 0.9018
Dy: 0.6604 0.0982 0.0982
Dy: 0.9018 0.3396 0.9018
Dy: 0.9018 0.9018 0.3396

Top 10 peaks for 2θ = 10–90°, by angle:
2θ (°)	I_rel
28.71	26
29.20	51
31.25	59
31.40	71
31.74	100
34.08	37
34.22	30
34.54	32
55.01	24
56.43	29

---

3.
Structure and calculated powder XRD pattern of Pm3Sm6Dy2 (a DFT-relaxed cell (GGA-PBE, Alexandria); CuKα).
Neutral-atom scattering factors, no anomalous dispersion.

Atomic structure:
a = 17.1326 Å, b = 17.1326 Å, c = 17.1326 Å
α = 163.88°, β = 163.88°, γ = 22.88°
Atoms (fractional coordinates):
Pm: 0.0000 0.0000 0.0000
Pm: 0.2005 0.2005 0.0000
Pm: 0.7995 0.7995 0.0000
Sm: 0.1199 0.6199 0.5000
Sm: 0.3030 0.3030 0.0000
Sm: 0.3801 0.8801 0.5000
Sm: 0.6199 0.1199 0.5000
Sm: 0.6970 0.6970 0.0000
Sm: 0.8801 0.3801 0.5000
Dy: 0.4545 0.4545 0.0000
Dy: 0.5455 0.5455 0.0000

Top 10 peaks for 2θ = 10–90°, by angle:
2θ (°)	I_rel
26.23	19
28.33	100
31.98	23
33.94	75
37.43	61
50.03	26
53.97	22
61.61	22
62.07	22
65.30	23

---

4.
Structure and calculated powder XRD pattern of PmSm8Dy3 (a DFT-relaxed cell (GGA-PBE, Alexandria); CuKα).
Neutral-atom scattering factors, no anomalous dispersion.

Atomic structure:
a = 8.4366 Å, b = 8.4366 Å, c = 8.4366 Å
α = 117.65°, β = 117.65°, γ = 94.12°
Atoms (fractional coordinates):
Pm: 0.0000 0.0000 0.0000
Sm: 0.1270 0.3762 0.0000
Sm: 0.2473 0.2473 0.5042
Sm: 0.2568 0.7527 0.0000
Sm: 0.3762 0.1270 0.0000
Sm: 0.6238 0.6238 0.7507
Sm: 0.7432 0.7432 0.4958
Sm: 0.7527 0.2568 0.0000
Sm: 0.8730 0.8730 0.2493
Dy: 0.2500 0.7500 0.5000
Dy: 0.5000 0.5000 0.0000
Dy: 0.7500 0.2500 0.5000

Top 10 peaks for 2θ = 10–90°, by angle:
2θ (°)	I_rel
24.06	59
25.62	54
28.91	79
31.12	72
32.74	27
36.08	100
42.99	53
44.38	46
56.02	29
69.06	32

---

- Which formula does entry 3 have?
  Pm3Sm6Dy2